Calculated powder diffractogram
Compound: Sc3BiH2
Radiation: Cu Kα (λ = 1.5418 Å)
Structure: a cell relaxed with PBE

Structural model:
```
data_Sc3BiH2
_chemical_formula_sum 'Sc12 Bi4 H8'
_cell_length_a 21.0578
_cell_length_b 3.4914
_cell_length_c 5.8962
_cell_angle_alpha 90.00
_cell_angle_beta 101.92
_cell_angle_gamma 90.00
_space_group_name_H-M_alt 'C 1 2/m 1'
_space_group_IT_number 12
_space_group_name_Hall '-C 2y'
loop_
_atom_site_label
_atom_site_fract_x
_atom_site_fract_y
_atom_site_fract_z
_atom_site_occupancy
Sc1 0.0300 0.0000 0.2670 1
Sc2 0.1048 0.5000 0.8856 1
Sc3 0.2341 0.0000 0.2059 1
Bi1 0.1472 0.5000 0.4359 1
H1 0.0594 0.0000 0.9498 1
H2 0.2067 0.5000 0.0198 1
```

Largest 12 diffraction maxima, by intensity, 2θ from 15° to 90°:
two_theta, I (rel.), (hkl)
28.68, 100, 3 1 0
15.36, 75, 0 0 1
41.53, 61, 1 1 2
17.21, 55, 4 0 0
31.35, 51, 3 1 -1
15.98, 47, 2 0 -1
25.45, 40, 4 0 1
30.41, 40, 2 0 -2
25.90, 39, 1 1 0
40.63, 38, 3 1 -2
33.98, 38, 3 1 1
40.07, 35, 7 1 0

Calculated powder diffractogram
Compound: CuNiBi
Radiation: Cu Kα (λ = 1.5418 Å)
Structure: a cell relaxed with PBE

Structural model:
```
data_CuNiBi
_chemical_formula_sum 'Cu4 Ni4 Bi4'
_cell_length_a 4.5872
_cell_length_b 4.5514
_cell_length_c 10.4002
_cell_angle_alpha 90.00
_cell_angle_beta 90.14
_cell_angle_gamma 90.00
_space_group_name_H-M_alt 'C 1 2/m 1'
_space_group_IT_number 12
_space_group_name_Hall '-C 2y'
loop_
_atom_site_label
_atom_site_fract_x
_atom_site_fract_y
_atom_site_fract_z
_atom_site_occupancy
Cu1 0.2489 0.0000 0.3316 1
Ni1 0.2495 0.5000 0.4359 1
Bi1 0.2477 0.5000 0.1609 1
```

Largest 12 diffraction maxima, by intensity, 2θ from 15° to 90°:
two_theta, I (rel.), (hkl)
32.63, 100, 1 1 2
44.74, 89, 1 1 -4
28.94, 67, 1 1 -1
39.28, 45, 2 0 0
39.60, 44, 0 2 0
57.01, 30, 2 2 0
25.70, 29, 0 0 3
17.05, 19, 0 0 2
75.45, 19, 1 3 -4
34.50, 15, 0 0 4
67.03, 13, 3 1 2
67.47, 13, 1 3 2

Calculated powder diffractogram
Compound: CsDySe4
Radiation: Cu Kα (λ = 1.5418 Å)
Structure: a cell relaxed with PBE

Structural model:
```
data_CsDySe4
_chemical_formula_sum 'Cs2 Dy2 Se8'
_cell_length_a 6.3153
_cell_length_b 6.3153
_cell_length_c 9.0701
_cell_angle_alpha 90.00
_cell_angle_beta 90.00
_cell_angle_gamma 90.00
_space_group_name_H-M_alt 'P 4/n b m'
_space_group_IT_number 125
loop_
_space_group_symop_operation_xyz
'x,y,z'
'-x,-y,-z'
'-y+1/2,x,z'
'y+1/2,-x,-z'
'-x+1/2,-y+1/2,z'
'x+1/2,y+1/2,-z'
'y,-x+1/2,z'
'-y,x+1/2,-z'
'x,-y+1/2,-z'
'-x,y+1/2,z'
'-y+1/2,-x+1/2,-z'
'y+1/2,x+1/2,z'
'-x+1/2,y,-z'
'x+1/2,-y,z'
'y,x,-z'
'-y,-x,z'
loop_
_atom_site_label
_atom_site_fract_x
_atom_site_fract_y
_atom_site_fract_z
_atom_site_occupancy
Cs1 0.2500 0.2500 0.0000 1
Dy1 0.2500 0.2500 0.5000 1
Se1 0.1135 0.6135 0.3109 1
```

Largest 12 diffraction maxima, by intensity, 2θ from 15° to 90°:
two_theta, I (rel.), (hkl)
28.04, 100, 1 1 2
33.22, 42, 2 1 1
34.61, 40, 2 0 2
45.41, 38, 3 1 0
28.26, 19, 2 0 0
62.27, 18, 4 0 2
19.88, 18, 1 1 0
37.52, 17, 2 1 2
44.83, 15, 1 1 4
45.27, 14, 2 2 2
51.70, 13, 2 1 4
61.91, 12, 3 1 4

Repeat the first record exactly.
Calculated powder diffractogram
Compound: Sc3BiH2
Radiation: Cu Kα (λ = 1.5418 Å)
Structure: a cell relaxed with PBE

Structural model:
```
data_Sc3BiH2
_chemical_formula_sum 'Sc12 Bi4 H8'
_cell_length_a 21.0578
_cell_length_b 3.4914
_cell_length_c 5.8962
_cell_angle_alpha 90.00
_cell_angle_beta 101.92
_cell_angle_gamma 90.00
_space_group_name_H-M_alt 'C 1 2/m 1'
_space_group_IT_number 12
_space_group_name_Hall '-C 2y'
loop_
_atom_site_label
_atom_site_fract_x
_atom_site_fract_y
_atom_site_fract_z
_atom_site_occupancy
Sc1 0.0300 0.0000 0.2670 1
Sc2 0.1048 0.5000 0.8856 1
Sc3 0.2341 0.0000 0.2059 1
Bi1 0.1472 0.5000 0.4359 1
H1 0.0594 0.0000 0.9498 1
H2 0.2067 0.5000 0.0198 1
```

Largest 12 diffraction maxima, by intensity, 2θ from 15° to 90°:
two_theta, I (rel.), (hkl)
28.68, 100, 3 1 0
15.36, 75, 0 0 1
41.53, 61, 1 1 2
17.21, 55, 4 0 0
31.35, 51, 3 1 -1
15.98, 47, 2 0 -1
25.45, 40, 4 0 1
30.41, 40, 2 0 -2
25.90, 39, 1 1 0
40.63, 38, 3 1 -2
33.98, 38, 3 1 1
40.07, 35, 7 1 0